No. 1
Diffraction record for Bi10Mo3O24. The powder diffraction line list is calculated, not measured: it uses a PBE+U-relaxed structure and Cu Kα (λ = 1.5418 Å).
Lines closer than 0.1° are merged.

Principal peaks in the range 10 to 80 degrees two-theta, low angle first:
hkl 5 1 1, d 3.296, 27.05°, I = 100
hkl 8 0 -1, d 2.910, 30.72°, I = 14
hkl 0 2 0, d 2.871, 31.15°, I = 13
hkl 2 0 3, d 2.787, 32.12°, I = 13
hkl 8 2 -1, d 2.044, 44.32°, I = 14
hkl 10 0 2, d 2.013, 45.04°, I = 13
hkl 2 2 3, d 2.000, 45.35°, I = 12
hkl 13 1 0, d 1.745, 52.42°, I = 16
hkl 5 3 1, d 1.729, 52.97°, I = 12
hkl 7 1 4, d 1.691, 54.23°, I = 12

abc: 23.939 5.743 8.853
angles: 90.00 95.75 90.00
Space group C2 (No. 5)
Inequivalent atoms, fractional coordinates:
Bi 0.037 0.000 0.324 [4 per cell]
Bi 0.076 0.501 0.588 [4 per cell]
Bi 0.148 0.479 0.249 [4 per cell]
Bi 0.194 0.915 0.547 [4 per cell]
Bi 0.238 0.471 0.812 [4 per cell]
Mo 0.000 0.507 0.000 [2 per cell]
Mo 0.126 0.953 0.926 [4 per cell]
O 0.000 0.211 0.500 [2 per cell]
O 0.000 0.730 0.500 [2 per cell]
O 0.014 0.337 0.838 [4 per cell]
O 0.060 0.688 0.063 [4 per cell]
O 0.074 0.877 0.773 [4 per cell]
O 0.104 0.263 0.406 [4 per cell]
O 0.108 0.136 0.081 [4 per cell]
O 0.109 0.752 0.419 [4 per cell]
O 0.173 0.717 0.995 [4 per cell]
O 0.174 0.134 0.831 [4 per cell]
O 0.174 0.572 0.645 [4 per cell]
O 0.224 0.258 0.313 [4 per cell]
O 0.224 0.739 0.349 [4 per cell]

---

No. 2
Diffraction record for Bi14Mo5O36. The powder diffraction line list is calculated, not measured: it uses a PBE+U-relaxed structure and Cu Kα (λ = 1.5418 Å).
Lines closer than 0.1° are merged.

Principal peaks in the range 10 to 80 degrees two-theta, low angle first:
hkl 0 0 1, d 8.634, 10.24°, I = 10
hkl 7 1 1, d 3.270, 27.27°, I = 100
hkl 12 0 -1, d 2.869, 31.18°, I = 27
hkl 2 0 3, d 2.763, 32.41°, I = 12
hkl 12 2 -1, d 2.028, 44.68°, I = 15
hkl 2 2 3, d 1.989, 45.61°, I = 19
hkl 19 1 0, d 1.726, 53.07°, I = 8
hkl 7 3 1, d 1.723, 53.15°, I = 20
hkl 9 1 4, d 1.677, 54.73°, I = 13
hkl 14 2 2, d 1.635, 56.26°, I = 10

abc: 34.898 5.733 8.766
angles: 90.00 99.89 90.00
Space group C2 (No. 5)
Inequivalent atoms, fractional coordinates:
Bi 0.027 0.020 0.331 [4 per cell]
Bi 0.051 0.524 0.612 [4 per cell]
Bi 0.104 0.499 0.273 [4 per cell]
Bi 0.131 0.000 0.560 [4 per cell]
Bi 0.180 0.028 0.229 [4 per cell]
Bi 0.211 0.586 0.532 [4 per cell]
Bi 0.242 0.027 0.812 [4 per cell]
Mo 0.000 0.514 0.000 [2 per cell]
Mo 0.079 0.011 0.947 [4 per cell]
Mo 0.162 0.549 0.903 [4 per cell]
O 0.000 0.256 0.500 [2 per cell]
O 0.000 0.752 0.500 [2 per cell]
O 0.020 0.331 0.866 [4 per cell]
O 0.037 0.684 0.119 [4 per cell]
O 0.041 0.856 0.818 [4 per cell]
O 0.071 0.155 0.126 [4 per cell]
O 0.074 0.293 0.440 [4 per cell]
O 0.076 0.783 0.451 [4 per cell]
O 0.100 0.203 0.824 [4 per cell]
O 0.118 0.808 0.018 [4 per cell]
O 0.128 0.634 0.731 [4 per cell]
O 0.150 0.242 0.383 [4 per cell]
O 0.152 0.754 0.394 [4 per cell]
O 0.155 0.394 0.078 [4 per cell]
O 0.193 0.349 0.821 [4 per cell]
O 0.196 0.784 0.964 [4 per cell]
O 0.198 0.935 0.625 [4 per cell]
O 0.231 0.760 0.340 [4 per cell]
O 0.232 0.241 0.308 [4 per cell]

---

No. 3
Diffraction record for Bi2MoO6. The powder diffraction line list is calculated, not measured: it uses a PBE+U-relaxed structure and Cu Kα (λ = 1.5418 Å).
Lines closer than 0.1° are merged.

Principal peaks in the range 10 to 80 degrees two-theta, low angle first:
hkl 0 2 0, d 8.475, 10.44°, I = 15
hkl 1 3 1, d 3.169, 28.16°, I = 100
hkl 0 6 0, d 2.825, 31.67°, I = 18
hkl 0 0 2, d 2.712, 33.03°, I = 14
hkl 2 0 0, d 2.701, 33.16°, I = 16
hkl 2 6 0, d 1.952, 46.51°, I = 13
hkl 2 0 2, d 1.914, 47.50°, I = 16
hkl 1 9 1, d 1.690, 54.29°, I = 18
hkl 1 3 3, d 1.641, 56.05°, I = 14
hkl 3 3 1, d 1.636, 56.23°, I = 15

abc: 5.403 16.949 5.424
angles: 90.00 90.00 90.00
Space group Pbca (No. 61)
Inequivalent atoms, fractional coordinates:
Bi 0.006 0.173 0.022 [8 per cell]
Mo 0.000 0.000 0.500 [4 per cell]
O 0.013 0.610 0.074 [8 per cell]
O 0.209 0.518 0.707 [8 per cell]
O 0.248 0.749 0.752 [8 per cell]